Record 1
Diffraction record for La4MgAg5. The powder diffractogram is computed, not measured: it uses a crystal structure in Alexandria, relaxed with GGA-PBE and CuKα.
Peak positions follow from Bragg's law for the DFT cell and can differ from measured ones.

Top 8 peaks for 15° ≤ 2θ ≤ 90°, in order of rising 2θ:
2.925 Å, 2θ 30.56, rel. 16
2.662 Å, 2θ 33.67, rel. 100
2.603 Å, 2θ 34.45, rel. 55
1.841 Å, 2θ 49.52, rel. 19
1.654 Å, 2θ 55.58, rel. 10
1.549 Å, 2θ 59.71, rel. 11
1.514 Å, 2θ 61.22, rel. 34
1.164 Å, 2θ 82.94, rel. 8

Structural model:
```
data_La4MgAg5
_space_group_name_H-M_alt 'P 1'
_space_group_IT_number 1
_cell_length_a 3.681
_cell_length_b 3.681
_cell_length_c 19.269
_cell_angle_alpha 90.00
_cell_angle_beta 90.00
_cell_angle_gamma 90.00
loop_
_space_group_symop_operation_xyz
'x,y,z'
loop_
_atom_site_label
_atom_site_type_symbol
_atom_site_fract_x
_atom_site_fract_y
_atom_site_fract_z
_atom_site_occupancy
La1 La 0.000 0.000 0.105 1
La2 La 0.000 0.000 0.314 1
La3 La 0.000 0.000 0.686 1
La4 La 0.000 0.000 0.895 1
Mg1 Mg 0.000 0.000 0.500 1
Ag1 Ag 0.500 0.500 0.000 1
Ag2 Ag 0.500 0.500 0.209 1
Ag3 Ag 0.500 0.500 0.422 1
Ag4 Ag 0.500 0.500 0.578 1
Ag5 Ag 0.500 0.500 0.791 1
```

=====

Record 2
Diffraction record for Ho5TlOs. The powder diffractogram is computed, not measured: it uses a crystal structure in Alexandria, relaxed with GGA-PBE and CuKα.
Peak positions follow from Bragg's law for the DFT cell and can differ from measured ones.

Top 8 peaks for 15° ≤ 2θ ≤ 90°, in order of rising 2θ:
2.906 Å, 2θ 30.76, rel. 100
2.867 Å, 2θ 31.20, rel. 88
2.751 Å, 2θ 32.54, rel. 84
2.646 Å, 2θ 33.88, rel. 43
2.400 Å, 2θ 37.47, rel. 31
2.261 Å, 2θ 39.86, rel. 17
2.246 Å, 2θ 40.15, rel. 23
1.897 Å, 2θ 47.96, rel. 15

Structural model:
```
data_Ho5TlOs
_space_group_name_H-M_alt 'P 1'
_space_group_IT_number 1
_cell_length_a 5.970
_cell_length_b 5.970
_cell_length_c 11.709
_cell_angle_alpha 102.60
_cell_angle_beta 102.60
_cell_angle_gamma 77.50
loop_
_space_group_symop_operation_xyz
'x,y,z'
loop_
_atom_site_label
_atom_site_type_symbol
_atom_site_fract_x
_atom_site_fract_y
_atom_site_fract_z
_atom_site_occupancy
Ho1 Ho 0.002 0.998 0.750 1
Ho2 Ho 0.083 0.417 0.625 1
Ho3 Ho 0.208 0.548 0.939 1
Ho4 Ho 0.417 0.083 0.125 1
Ho5 Ho 0.452 0.792 0.561 1
Ho6 Ho 0.548 0.208 0.439 1
Ho7 Ho 0.583 0.917 0.875 1
Ho8 Ho 0.792 0.452 0.061 1
Ho9 Ho 0.917 0.583 0.375 1
Ho10 Ho 0.998 0.002 0.250 1
Tl1 Tl 0.407 0.593 0.250 1
Tl2 Tl 0.593 0.407 0.750 1
Os1 Os 0.000 0.000 0.000 1
Os2 Os 0.000 0.000 0.500 1
```